1.
Theoretical X-ray diffraction stick pattern of Tb3PmSc4 for Cu Kα, 1.54184 Å, from a GGA-PBE-relaxed structure.
Neutral-atom scattering factors, no anomalous dispersion.

Principal peaks in the range 10 to 80 degrees two-theta, low angle first:
12.64 deg, intensity 37; 25.49 deg, intensity 41; 29.52 deg, intensity 21; 32.99 deg, intensity 36; 33.91 deg, intensity 100; 34.07 deg, intensity 46; 44.85 deg, intensity 16; 52.59 deg, intensity 18; 59.50 deg, intensity 19; 63.49 deg, intensity 20

Cell and atoms:
```
Tb3PmSc4
1.0
10.8615 0.0000 0.0000
0.0000 7.0018 0.0000
0.0000 0.0000 6.0170
Tb Pm Sc
6 2 8
Direct
0.0000 0.1354 0.0000
0.2498 0.1359 0.3464
0.2502 0.8641 0.8464
0.5000 0.8646 0.5000
0.7502 0.1359 0.3464
0.7498 0.8641 0.8464
0.0000 0.8653 0.5009
0.5000 0.1347 0.0009
0.0000 0.3855 0.5104
0.0000 0.6139 0.0100
0.2487 0.3852 0.8372
0.2513 0.6148 0.3372
0.5000 0.3861 0.5100
0.5000 0.6145 0.0104
0.7487 0.6148 0.3372
0.7513 0.3852 0.8372
```



2.
Theoretical X-ray diffraction stick pattern of CaCuGe2Ir for Cu Kα, 1.54184 Å, from a GGA-PBE-relaxed structure.
Neutral-atom scattering factors, no anomalous dispersion.

Principal peaks in the range 10 to 80 degrees two-theta, low angle first:
16.95 deg, intensity 71; 22.95 deg, intensity 57; 33.49 deg, intensity 43; 34.92 deg, intensity 100; 43.38 deg, intensity 60; 46.39 deg, intensity 66; 46.89 deg, intensity 22; 55.89 deg, intensity 20; 63.02 deg, intensity 19; 74.12 deg, intensity 21

Cell and atoms:
```
CaCuGe2Ir
1.0
-2.0860 2.0860 5.2314
2.0860 -2.0860 5.2314
2.0860 2.0860 -5.2314
Ca Cu Ge Ir
1 1 2 1
Direct
0.0000 0.0000 0.0000
0.2500 0.7500 0.5000
0.3765 0.3765 0.0000
0.6235 0.6235 0.0000
0.7500 0.2500 0.5000
```



3.
Theoretical X-ray diffraction stick pattern of SmYFe for Cu Kα, 1.54184 Å, from a GGA-PBE-relaxed structure.
Neutral-atom scattering factors, no anomalous dispersion.

Principal peaks in the range 10 to 80 degrees two-theta, low angle first:
28.34 deg, intensity 100; 29.52 deg, intensity 54; 31.96 deg, intensity 41; 32.12 deg, intensity 37; 35.34 deg, intensity 29; 35.45 deg, intensity 28; 39.57 deg, intensity 28; 41.51 deg, intensity 40; 46.67 deg, intensity 23; 56.33 deg, intensity 28

Cell and atoms:
```
SmYFe
1.0
3.5011 -6.0191 0.0000
3.5011 6.0191 0.0000
0.0000 0.0000 7.3791
Sm Y Fe
4 4 4
Direct
0.1986 0.8014 0.8861
0.3014 0.6986 0.3861
0.6986 0.3014 0.6139
0.8014 0.1986 0.1139
0.2078 0.2922 0.7500
0.2922 0.2078 0.2500
0.7078 0.7922 0.7500
0.7922 0.7078 0.2500
0.0912 0.9088 0.5420
0.4088 0.5912 0.0420
0.5912 0.4088 0.9580
0.9088 0.0912 0.4580
```